Structure and computed powder diffraction line list of NdAlSe3 (a DFT-relaxed cell (GGA-PBE, Alexandria); CuKα).
Intensities are scaled so that the largest is 100.

The 10 most intense peaks (10 to 90 degrees two-theta), low angle first:
13.7 deg, rel. 83
23.8 deg, rel. 38
30.3 deg, rel. 84
30.9 deg, rel. 100
31.2 deg, rel. 99
31.5 deg, rel. 60
36.5 deg, rel. 54
40.8 deg, rel. 47
41.4 deg, rel. 48
46.7 deg, rel. 46

Structural model:
```
NdAlSe3
1.0
6.447 -4.581 0.000
6.447 4.581 0.000
-0.084 0.000 4.422
Nd Al Se
2 2 6
Direct
0.234 0.234 0.257
0.766 0.766 0.743
0.313 0.687 0.500
0.687 0.313 0.500
0.054 0.662 0.249
0.338 0.946 0.751
0.398 0.398 0.755
0.602 0.602 0.245
0.662 0.054 0.249
0.946 0.338 0.751
```